Record 1
Li5MgRh2: simulated powder diffraction line list (a wavelength of 1.5418 Å), based on the PBE geometry in Alexandria.

Cell and atoms:
```
data_Li5MgRh2
_symmetry_space_group_name_H-M 'P 1 21/m 1'
_symmetry_Int_Tables_number 11
_cell_length_a 4.484
_cell_length_b 11.446
_cell_length_c 4.664
_cell_angle_alpha 90.00
_cell_angle_beta 90.02
_cell_angle_gamma 90.00
loop_
_symmetry_equiv_pos_as_xyz
'x,y,z'
'-x,-y,-z'
'-x,y+1/2,-z'
'x,-y+1/2,z'
loop_
_atom_site_label
_atom_site_type_symbol
_atom_site_fract_x
_atom_site_fract_y
_atom_site_fract_z
Li1 Li 0.249 0.104 0.153
Li2 Li 0.249 0.250 0.732
Li3 Li 0.250 0.004 0.672
Mg1 Mg 0.251 0.750 0.662
Rh1 Rh 0.251 0.632 0.161
```

Main lines, sorted by position (15° ≤ 2θ ≤ 90°):
- 2θ = 20.56°, d 4.319, intensity 46, (0 1 1)
- 2θ = 21.28°, d 4.175, intensity 100, (1 1 0)
- 2θ = 27.60°, d 3.232, intensity 41, (1 0 1)
- 2θ = 40.23°, d 2.242, intensity 22, (2 0 0)
- 2θ = 42.18°, d 2.143, intensity 54, (1 4 1)
- 2θ = 43.75°, d 2.069, intensity 27, (1 0 -2)

Record 2
LiMg4Rh3: simulated powder diffraction line list (a wavelength of 1.5418 Å), based on the PBE geometry in Alexandria.

Cell and atoms:
```
data_LiMg4Rh3
_symmetry_space_group_name_H-M 'I 4/m m m'
_symmetry_Int_Tables_number 139
_symmetry_space_group_name_Hall '-I 4 2'
_cell_length_a 4.461
_cell_length_b 4.461
_cell_length_c 12.591
_cell_angle_alpha 90.00
_cell_angle_beta 90.00
_cell_angle_gamma 90.00
loop_
_atom_site_label
_atom_site_type_symbol
_atom_site_fract_x
_atom_site_fract_y
_atom_site_fract_z
Li1 Li 0.000 0.000 0.000
Mg1 Mg 0.000 0.500 0.130
Rh1 Rh 0.000 0.000 0.252
Rh2 Rh 0.000 0.000 0.500
```

Main lines, sorted by position (15° ≤ 2θ ≤ 90°):
- 2θ = 21.13°, d 4.205, intensity 22, (1 0 1)
- 2θ = 28.31°, d 3.152, intensity 35, (0 0 4)
- 2θ = 40.47°, d 2.229, intensity 100, (2 0 0)
- 2θ = 50.13°, d 1.820, intensity 10, (2 0 4)
- 2θ = 58.53°, d 1.577, intensity 11, (2 2 0)
- 2θ = 73.61°, d 1.287, intensity 32, (3 1 4)

Record 3
LiMg3Rh2: simulated powder diffraction line list (a wavelength of 1.5418 Å), based on the PBE geometry in Alexandria.

Cell and atoms:
```
data_LiMg3Rh2
_symmetry_space_group_name_H-M 'P 4/m m m'
_symmetry_Int_Tables_number 123
_symmetry_space_group_name_Hall '-P 4 2'
_cell_length_a 3.206
_cell_length_b 3.206
_cell_length_c 9.621
_cell_angle_alpha 90.00
_cell_angle_beta 90.00
_cell_angle_gamma 90.00
loop_
_atom_site_label
_atom_site_type_symbol
_atom_site_fract_x
_atom_site_fract_y
_atom_site_fract_z
Li1 Li 0.000 0.000 0.000
Mg1 Mg 0.500 0.500 0.195
Mg2 Mg 0.500 0.500 0.500
Rh1 Rh 0.000 0.000 0.337
```

Main lines, sorted by position (15° ≤ 2θ ≤ 90°):
- 2θ = 18.44°, d 4.811, intensity 16, (0 0 2)
- 2θ = 27.82°, d 3.207, intensity 32, (0 0 3)
- 2θ = 29.36°, d 3.042, intensity 17, (1 0 1)
- 2θ = 39.75°, d 2.267, intensity 100, (1 1 0)
- 2θ = 57.48°, d 1.603, intensity 16, (2 0 0)
- 2θ = 72.16°, d 1.309, intensity 31, (2 1 3)

Record 4
Li2Mg8Rh: simulated powder diffraction line list (a wavelength of 1.5418 Å), based on the PBE geometry in Alexandria.

Cell and atoms:
```
data_Li2Mg8Rh
_symmetry_space_group_name_H-M 'C 1 2/m 1'
_symmetry_Int_Tables_number 12
_cell_length_a 14.342
_cell_length_b 4.684
_cell_length_c 7.304
_cell_angle_alpha 90.00
_cell_angle_beta 117.59
_cell_angle_gamma 90.00
loop_
_symmetry_equiv_pos_as_xyz
'x,y,z'
'-x,-y,-z'
'-x,y,-z'
'x,-y,z'
'x+1/2,y+1/2,z'
'-x+1/2,-y+1/2,-z'
'-x+1/2,y+1/2,-z'
'x+1/2,-y+1/2,z'
loop_
_atom_site_label
_atom_site_type_symbol
_atom_site_fract_x
_atom_site_fract_y
_atom_site_fract_z
Li1 Li 0.227 0.000 0.143
Mg1 Mg 0.047 0.000 0.226
Mg2 Mg 0.095 0.500 0.931
Mg3 Mg 0.127 0.000 0.669
Mg4 Mg 0.172 0.500 0.422
Rh1 Rh 0.000 0.500 0.500
```

Main lines, sorted by position (15° ≤ 2θ ≤ 90°):
- 2θ = 20.20°, d 4.395, intensity 33, (1 1 0)
- 2θ = 26.95°, d 3.308, intensity 30, (3 1 -1)
- 2θ = 36.83°, d 2.440, intensity 100, (5 1 -1)
- 2θ = 37.04°, d 2.427, intensity 96, (1 1 2)
- 2θ = 38.04°, d 2.365, intensity 45, (4 0 -3)
- 2θ = 38.46°, d 2.341, intensity 60, (0 2 0)

Record 5
Li2Mg6Rh3: simulated powder diffraction line list (a wavelength of 1.5418 Å), based on the PBE geometry in Alexandria.

Cell and atoms:
```
data_Li2Mg6Rh3
_symmetry_space_group_name_H-M 'F m m m'
_symmetry_Int_Tables_number 69
_symmetry_space_group_name_Hall '-F 2 2'
_cell_length_a 5.454
_cell_length_b 8.528
_cell_length_c 18.141
_cell_angle_alpha 90.00
_cell_angle_beta 90.00
_cell_angle_gamma 90.00
loop_
_atom_site_label
_atom_site_type_symbol
_atom_site_fract_x
_atom_site_fract_y
_atom_site_fract_z
Li1 Li 0.000 0.000 0.060
Mg1 Mg 0.000 0.000 0.210
Mg2 Mg 0.250 0.250 0.090
Rh1 Rh 0.000 0.000 0.355
Rh2 Rh 0.000 0.000 0.500
```

Main lines, sorted by position (15° ≤ 2θ ≤ 90°):
- 2θ = 19.93°, d 4.454, intensity 100, (1 1 1)
- 2θ = 20.83°, d 4.264, intensity 38, (0 2 0)
- 2θ = 36.43°, d 2.466, intensity 27, (0 2 6)
- 2θ = 39.21°, d 2.297, intensity 44, (2 2 0)
- 2θ = 39.94°, d 2.257, intensity 51, (1 1 7)
- 2θ = 50.51°, d 1.807, intensity 25, (1 3 7)

Record 6
LiMg4Ru: simulated powder diffraction line list (a wavelength of 1.5418 Å), based on the PBE geometry in Alexandria.

Cell and atoms:
```
data_LiMg4Ru
_symmetry_space_group_name_H-M 'F -4 3 m'
_symmetry_Int_Tables_number 216
_symmetry_space_group_name_Hall 'F -4 2 3'
_cell_length_a 7.783
_cell_length_b 7.783
_cell_length_c 7.783
_cell_angle_alpha 90.00
_cell_angle_beta 90.00
_cell_angle_gamma 90.00
loop_
_atom_site_label
_atom_site_type_symbol
_atom_site_fract_x
_atom_site_fract_y
_atom_site_fract_z
Li1 Li 0.000 0.000 0.000
Mg1 Mg 0.124 0.124 0.624
Ru1 Ru 0.250 0.250 0.250
```

Main lines, sorted by position (15° ≤ 2θ ≤ 90°):
- 2θ = 19.76°, d 4.494, intensity 48, (1 1 1)
- 2θ = 22.85°, d 3.892, intensity 43, (2 0 0)
- 2θ = 32.54°, d 2.752, intensity 44, (2 2 0)
- 2θ = 38.36°, d 2.347, intensity 100, (3 1 1)
- 2θ = 40.13°, d 2.247, intensity 28, (2 2 2)
- 2θ = 61.95°, d 1.498, intensity 31, (3 3 3)

Record 7
Li2MgRu: simulated powder diffraction line list (a wavelength of 1.5418 Å), based on the PBE geometry in Alexandria.

Cell and atoms:
```
data_Li2MgRu
_symmetry_space_group_name_H-M 'P 1 m 1'
_symmetry_Int_Tables_number 6
_cell_length_a 2.601
_cell_length_b 4.419
_cell_length_c 5.527
_cell_angle_alpha 90.00
_cell_angle_beta 102.07
_cell_angle_gamma 90.00
loop_
_symmetry_equiv_pos_as_xyz
'x,y,z'
'x,-y,z'
loop_
_atom_site_label
_atom_site_type_symbol
_atom_site_fract_x
_atom_site_fract_y
_atom_site_fract_z
Li1 Li 0.000 0.000 0.000
Li2 Li 0.139 0.500 0.764
Mg1 Mg 0.745 0.500 0.299
Ru1 Ru 0.389 0.000 0.517
```

Main lines, sorted by position (15° ≤ 2θ ≤ 90°):
- 2θ = 16.40°, d 5.404, intensity 100, (0 0 1)
- 2θ = 20.10°, d 4.419, intensity 33, (0 1 0)
- 2θ = 26.05°, d 3.421, intensity 54, (0 1 1)
- 2θ = 39.07°, d 2.305, intensity 37, (0 1 2)
- 2θ = 40.90°, d 2.206, intensity 41, (0 2 0)
- 2θ = 41.33°, d 2.184, intensity 31, (1 1 -1)

Record 8
LiMgS2: simulated powder diffraction line list (a wavelength of 1.5418 Å), based on the PBE geometry in Alexandria.

Cell and atoms:
```
data_LiMgS2
_symmetry_space_group_name_H-M 'R 3 m'
_symmetry_Int_Tables_number 160
_symmetry_space_group_name_Hall 'R 3 -2"'
_cell_length_a 3.8050
_cell_length_b 3.8050
_cell_length_c 16.8011
_cell_angle_alpha 90.00
_cell_angle_beta 90.00
_cell_angle_gamma 120.00
loop_
_atom_site_label
_atom_site_type_symbol
_atom_site_fract_x
_atom_site_fract_y
_atom_site_fract_z
Li1 Li 0.0000 0.0000 0.0000
Mg1 Mg 0.0000 0.0000 0.8268
S1 S 0.0000 0.0000 0.2430
S2 S 0.0000 0.0000 0.4118
```

Main lines, sorted by position (15° ≤ 2θ ≤ 90°):
- 2θ = 27.59°, d 3.234, intensity 31, (1 0 1)
- 2θ = 29.11°, d 3.068, intensity 90, (0 1 2)
- 2θ = 38.26°, d 2.353, intensity 100, (0 1 5)
- 2θ = 46.83°, d 1.940, intensity 48, (1 0 7)
- 2θ = 47.81°, d 1.902, intensity 61, (1 1 0)
- 2θ = 86.26°, d 1.128, intensity 24, (1 1 12)

Record 9
Li2Mg2S3: simulated powder diffraction line list (a wavelength of 1.5418 Å), based on the PBE geometry in Alexandria.

Cell and atoms:
```
data_Li2Mg2S3
_symmetry_space_group_name_H-M 'C 1 2/c 1'
_symmetry_Int_Tables_number 15
_cell_length_a 14.575
_cell_length_b 12.346
_cell_length_c 6.908
_cell_angle_alpha 90.00
_cell_angle_beta 118.02
_cell_angle_gamma 90.00
loop_
_symmetry_equiv_pos_as_xyz
'x,y,z'
'-x,-y,-z'
'-x,y,-z+1/2'
'x,-y,z+1/2'
'x+1/2,y+1/2,z'
'-x+1/2,-y+1/2,-z'
'-x+1/2,y+1/2,-z+1/2'
'x+1/2,-y+1/2,z+1/2'
loop_
_atom_site_label
_atom_site_type_symbol
_atom_site_fract_x
_atom_site_fract_y
_atom_site_fract_z
Li1 Li 0.000 0.073 0.250
Li2 Li 0.000 0.227 0.750
Li3 Li 0.081 0.419 0.637
Mg1 Mg 0.172 0.244 0.251
Mg2 Mg 0.198 0.072 0.798
S1 S 0.114 0.404 0.021
S2 S 0.116 0.078 0.038
S3 S 0.133 0.234 0.559
```

Main lines, sorted by position (15° ≤ 2θ ≤ 90°):
- 2θ = 25.19°, d 3.535, intensity 100, (1 3 -1)
- 2θ = 25.79°, d 3.454, intensity 47, (2 0 -2)
- 2θ = 27.73°, d 3.217, intensity 82, (4 0 0)
- 2θ = 28.79°, d 3.101, intensity 76, (1 3 1)
- 2θ = 37.77°, d 2.382, intensity 57, (3 3 1)
- 2θ = 45.12°, d 2.009, intensity 83, (3 3 -3)

Record 10
LiMgTcSb: simulated powder diffraction line list (a wavelength of 1.5418 Å), based on the PBE geometry in Alexandria.

Cell and atoms:
```
data_LiMgTcSb
_symmetry_space_group_name_H-M 'F -4 3 m'
_symmetry_Int_Tables_number 216
_symmetry_space_group_name_Hall 'F -4 2 3'
_cell_length_a 6.451
_cell_length_b 6.451
_cell_length_c 6.451
_cell_angle_alpha 90.00
_cell_angle_beta 90.00
_cell_angle_gamma 90.00
loop_
_atom_site_label
_atom_site_type_symbol
_atom_site_fract_x
_atom_site_fract_y
_atom_site_fract_z
Li1 Li 0.000 0.000 0.000
Mg1 Mg 0.250 0.250 0.250
Tc1 Tc 0.000 0.000 0.500
Sb1 Sb 0.250 0.250 0.750
```

Main lines, sorted by position (15° ≤ 2θ ≤ 90°):
- 2θ = 23.89°, d 3.725, intensity 72, (1 1 1)
- 2θ = 39.51°, d 2.281, intensity 100, (2 2 0)
- 2θ = 46.70°, d 1.945, intensity 35, (3 1 1)
- 2θ = 57.11°, d 1.613, intensity 17, (4 0 0)
- 2θ = 62.78°, d 1.480, intensity 14, (3 3 1)
- 2θ = 71.67°, d 1.317, intensity 33, (4 2 2)

Record 11
Li5Mg5Sc: simulated powder diffraction line list (a wavelength of 1.5418 Å), based on the PBE geometry in Alexandria.

Cell and atoms:
```
data_Li5Mg5Sc
_symmetry_space_group_name_H-M 'P -6 m 2'
_symmetry_Int_Tables_number 187
_symmetry_space_group_name_Hall 'P -6 2'
_cell_length_a 5.2105
_cell_length_b 5.2105
_cell_length_c 9.6658
_cell_angle_alpha 90.00
_cell_angle_beta 90.00
_cell_angle_gamma 120.00
loop_
_atom_site_label
_atom_site_type_symbol
_atom_site_fract_x
_atom_site_fract_y
_atom_site_fract_z
Li1 Li 0.0000 0.0000 0.2353
Li2 Li 0.3419 0.1710 0.0000
Mg1 Mg 0.0000 0.0000 0.5000
Mg2 Mg 0.3333 0.6667 0.1728
Mg3 Mg 0.6667 0.3333 0.3292
Sc1 Sc 0.3333 0.6667 0.5000
```

Main lines, sorted by position (15° ≤ 2θ ≤ 90°):
- 2θ = 19.67°, d 4.512, intensity 30, (1 0 0)
- 2θ = 34.20°, d 2.622, intensity 100, (1 0 3)
- 2θ = 34.42°, d 2.605, intensity 89, (1 1 0)
- 2θ = 35.69°, d 2.515, intensity 29, (1 1 1)
- 2θ = 49.31°, d 1.848, intensity 25, (2 0 3)
- 2θ = 61.52°, d 1.507, intensity 33, (2 1 3)

Record 12
Li2MgSc2: simulated powder diffraction line list (a wavelength of 1.5418 Å), based on the PBE geometry in Alexandria.

Cell and atoms:
```
data_Li2MgSc2
_symmetry_space_group_name_H-M 'I 4/m m m'
_symmetry_Int_Tables_number 139
_symmetry_space_group_name_Hall '-I 4 2'
_cell_length_a 3.624
_cell_length_b 3.624
_cell_length_c 17.145
_cell_angle_alpha 90.00
_cell_angle_beta 90.00
_cell_angle_gamma 90.00
loop_
_atom_site_label
_atom_site_type_symbol
_atom_site_fract_x
_atom_site_fract_y
_atom_site_fract_z
Li1 Li 0.000 0.500 0.250
Mg1 Mg 0.000 0.000 0.000
Sc1 Sc 0.000 0.000 0.403
```

Main lines, sorted by position (15° ≤ 2θ ≤ 90°):
- 2θ = 25.11°, d 3.546, intensity 47, (1 0 1)
- 2θ = 29.18°, d 3.061, intensity 33, (1 0 3)
- 2θ = 35.01°, d 2.563, intensity 45, (1 1 0)
- 2θ = 36.06°, d 2.491, intensity 100, (1 0 5)
- 2θ = 36.60°, d 2.455, intensity 32, (1 1 2)
- 2θ = 63.48°, d 1.465, intensity 33, (2 1 5)

Record 13
LiMg9Sc2: simulated powder diffraction line list (a wavelength of 1.5418 Å), based on the PBE geometry in Alexandria.

Cell and atoms:
```
data_LiMg9Sc2
_symmetry_space_group_name_H-M 'C 1 2/m 1'
_symmetry_Int_Tables_number 12
_cell_length_a 10.186
_cell_length_b 5.867
_cell_length_c 10.451
_cell_angle_alpha 90.00
_cell_angle_beta 109.19
_cell_angle_gamma 90.00
loop_
_symmetry_equiv_pos_as_xyz
'x,y,z'
'-x,-y,-z'
'-x,y,-z'
'x,-y,z'
'x+1/2,y+1/2,z'
'-x+1/2,-y+1/2,-z'
'-x+1/2,y+1/2,-z'
'x+1/2,-y+1/2,z'
loop_
_atom_site_label
_atom_site_type_symbol
_atom_site_fract_x
_atom_site_fract_y
_atom_site_fract_z
Li1 Li 0.000 0.000 0.000
Mg1 Mg 0.000 0.500 0.500
Mg2 Mg 0.089 0.500 0.262
Mg3 Mg 0.165 0.500 0.997
Mg4 Mg 0.166 0.247 0.738
Sc1 Sc 0.151 0.000 0.453
```

Main lines, sorted by position (15° ≤ 2θ ≤ 90°):
- 2θ = 30.43°, d 2.937, intensity 39, (0 2 0)
- 2θ = 35.42°, d 2.534, intensity 33, (4 0 -1)
- 2θ = 35.50°, d 2.529, intensity 50, (3 1 -3)
- 2θ = 35.61°, d 2.521, intensity 100, (3 1 1)
- 2θ = 36.41°, d 2.468, intensity 38, (0 0 4)
- 2θ = 37.38°, d 2.406, intensity 37, (2 2 -2)

Record 14
LiThMgSc: simulated powder diffraction line list (a wavelength of 1.5418 Å), based on the PBE geometry in Alexandria.

Cell and atoms:
```
data_LiThMgSc
_symmetry_space_group_name_H-M 'F -4 3 m'
_symmetry_Int_Tables_number 216
_symmetry_space_group_name_Hall 'F -4 2 3'
_cell_length_a 7.362
_cell_length_b 7.362
_cell_length_c 7.362
_cell_angle_alpha 90.00
_cell_angle_beta 90.00
_cell_angle_gamma 90.00
loop_
_atom_site_label
_atom_site_type_symbol
_atom_site_fract_x
_atom_site_fract_y
_atom_site_fract_z
Li1 Li 0.000 0.000 0.000
Th1 Th 0.250 0.250 0.250
Mg1 Mg 0.000 0.000 0.500
Sc1 Sc 0.250 0.250 0.750
```

Main lines, sorted by position (15° ≤ 2θ ≤ 90°):
- 2θ = 20.90°, d 4.250, intensity 80, (1 1 1)
- 2θ = 24.18°, d 3.681, intensity 77, (2 0 0)
- 2θ = 34.46°, d 2.603, intensity 100, (2 2 0)
- 2θ = 40.65°, d 2.220, intensity 47, (3 1 1)
- 2θ = 55.85°, d 1.646, intensity 32, (4 2 0)
- 2θ = 61.73°, d 1.503, intensity 37, (4 2 2)